This entry pairs a crystal structure of Li4Ti3Co3O12 with its theoretical powder diffraction line list. Radiation: Cu Kα, 1.54184 Å. Structure: a cell relaxed with GGA+U.

Peak list (10 most intense, 10 to 90 degrees two-theta, in order of rising 2θ)
two_theta  Rel. int.  h k l
17.72  100.0  1 1 1
35.71  11.0  1 -2 2
36.12  22.5  -1 2 2
42.81  19.6  2 -1 3
42.94  19.1  2 2 -2
43.57  19.0  0 3 3
55.87  9.2  3 0 4
63.08  5.5  2 -4 0
63.80  5.2  0 3 -5
64.17  5.1  -2 1 5

Structure:
```
44
Lattice="6.1097 0.0000 0.0000 1.7357 7.6874 0.0000 1.7632 0.8528 9.4637" Properties=species:S:1:pos:R:3 pbc="T T T"
Li 0.0000 0.0000 0.0000
Li 1.7816 6.0484 2.4182
Li 1.8411 2.5988 7.0896
Li 2.0188 4.2205 4.6804
Li 3.1218 5.1909 0.0050
Li 3.5003 2.0269 3.0053
Li 4.6991 2.5098 0.1978
Li 6.7100 6.7879 4.9926
Ti 1.6554 2.5792 0.0379
Ti 3.6937 7.0059 4.8134
Ti 4.7923 7.6351 0.0513
Ti 5.0668 4.4107 4.7928
Ti 6.1326 5.0289 0.0227
Ti 6.2572 1.6980 4.7648
Co 1.5500 0.8803 2.3484
Co 3.4582 5.2428 7.1579
Co 4.8511 6.0326 2.4145
Co 4.8619 2.5933 7.1229
Co 8.1029 7.7057 7.1683
Co 6.3661 3.4506 2.4174
O 1.5005 4.2717 1.1706
O 3.2525 6.7414 8.3210
O 1.5536 0.8488 5.9808
O 1.5709 2.4666 3.4495
O 3.3082 6.9734 1.1714
O 3.3947 1.8334 8.4547
O 3.5640 3.7340 6.0019
O 3.5740 5.3131 3.7409
O 4.6863 4.3453 8.3846
O 4.7013 7.7952 3.4292
O 2.9671 1.6488 1.1617
O 5.0302 6.0736 5.7672
O 6.6690 6.9208 8.3935
O 4.9506 4.3122 1.3139
O 5.0491 2.7496 3.6690
O 5.1000 0.8531 5.9673
O 6.1727 6.7517 1.1192
O 6.2332 1.6060 8.3607
O 6.3892 3.3649 5.8124
O 6.4413 5.0477 3.5898
O 8.0438 4.2560 8.4687
O 6.3580 1.8667 1.3038
O 8.2070 7.7676 3.6500
O 8.3374 6.1721 6.0163
```